For K2Bi3Pb5, a structure optimized by DFT (PBE) gives the computed PXRD pattern in this record (Cu Kα (λ = 1.5418 Å)).
Intensities are scaled so that the largest is 100.

Most intense lines, 5 to 70 degrees two-theta, by angle:
2θ/deg  I_rel
12.73  64
17.86  87
26.79  62
33.71  100
35.02  71
35.28  70

```
K2Bi3Pb5
1.0
-6.955 7.464 3.789
6.955 -7.464 3.789
6.955 7.464 -3.789
K Bi Pb
4 6 10
Cartesian
3.404 1.837 0.000 K
3.404 -1.837 3.789 K
3.551 9.301 0.000 K
3.551 5.627 3.789 K
8.913 1.834 0.000 Bi
0.000 0.000 1.895 Bi
1.957 5.630 0.000 Bi
4.998 1.834 3.789 Bi
0.000 0.000 5.684 Bi
-1.957 5.630 3.789 Bi
6.955 -3.645 1.895 Pb
12.103 1.890 0.000 Pb
6.955 0.000 1.895 Pb
5.148 5.574 0.000 Pb
6.955 3.645 1.895 Pb
0.000 3.819 1.895 Pb
1.807 1.890 3.789 Pb
0.000 7.464 1.895 Pb
-5.148 5.574 3.789 Pb
0.000 11.109 1.895 Pb
```